Structure and simulated PXRD pattern of Ta3Se4S2 (DFT lattice parameters and positions (PBE); Cu Ka).
Neutral-atom scattering factors, no anomalous dispersion.

Atomic structure:
```
Ta3Se4S2
1.0
3.428 0.000 0.000
-1.714 2.969 0.000
0.000 0.000 25.120
Ta Se S
3 4 2
direct
0.000 0.000 0.000 Ta
0.333 0.667 0.273 Ta
0.333 0.667 0.727 Ta
0.000 0.000 0.205 Se
0.000 0.000 0.340 Se
0.000 0.000 0.660 Se
0.000 0.000 0.795 Se
0.333 0.667 0.061 S
0.333 0.667 0.939 S
```

Principal peaks in the range 15 to 90 degrees two-theta, in order of rising 2θ:
| hkl | 2θ/deg | I/Imax |
| --- | --- | --- |
| 1 0 0 | 30.1 | 63 |
| 1 0 2 | 31.0 | 43 |
| 1 0 5 | 35.1 | 85 |
| 1 0 6 | 37.1 | 99 |
| 1 0 9 | 44.6 | 100 |
| 1 1 0 | 53.5 | 49 |



Structure and simulated PXRD pattern of Ba2TlAg4Bi3 (DFT lattice parameters and positions (PBE); Cu Ka).
Neutral-atom scattering factors, no anomalous dispersion.

Atomic structure:
```
Ba2TlAg4Bi3
1.0
4.996 0.000 0.000
0.000 4.996 0.000
0.000 0.000 12.013
Ba Tl Ag Bi
2 1 4 3
direct
0.000 0.500 0.241 Ba
0.500 0.000 0.759 Ba
0.000 0.000 0.500 Tl
0.000 0.000 0.000 Ag
0.000 0.500 0.633 Ag
0.500 0.000 0.367 Ag
0.500 0.500 0.000 Ag
0.000 0.500 0.868 Bi
0.500 0.000 0.132 Bi
0.500 0.500 0.500 Bi
```

Principal peaks in the range 15 to 90 degrees two-theta, in order of rising 2θ:
| hkl | 2θ/deg | I/Imax |
| --- | --- | --- |
| 1 0 3 | 28.6 | 50 |
| 1 1 2 | 29.3 | 100 |
| 2 0 0 | 36.0 | 76 |
| 1 1 4 | 39.4 | 51 |
| 1 0 5 | 41.7 | 27 |
| 2 2 0 | 51.8 | 27 |